Starting from a structure optimized by DFT (GGA-PBE), the powder diffraction line list of BeAlInNi was computed for Cu Kα X-rays.

Atomic structure:
Cell: 4.294 4.294 4.294 Å, 60.00 60.00 60.00°
Element x y z (fractional)
Be 0.000 0.000 0.000
Al 0.250 0.250 0.250
In 0.750 0.750 0.750
Ni 0.500 0.500 0.500

Largest 8 diffraction maxima, low angle first, 10° ≤ 2θ ≤ 80°:
d (Å)	intensity
3.506	64
3.036	15
2.147	100
1.831	30
1.518	16
1.393	12
1.358	5
1.240	32